(1)
This entry pairs a crystal structure of CePr7Dy4 with its simulated X-ray diffraction stick pattern. Radiation: Cu Kα X-rays. Structure: the GGA-PBE geometry in Alexandria.
Lines closer than 0.1° are merged.

Principal peaks in the range 2θ from 5° to 70°, in order of falling intensity:
hkl 1 0 -3, 2θ = 31.46°, rel. 100; hkl 1 2 -2, 2θ = 30.61°, rel. 60; hkl 1 -2 2, 2θ = 30.72°, rel. 56; hkl 1 0 3, 2θ = 31.81°, rel. 39; hkl 2 0 0, 2θ = 29.26°, rel. 37; hkl 0 0 3, 2θ = 27.97°, rel. 16; hkl 2 1 0, 2θ = 32.34°, rel. 16; hkl 2 0 2, 2θ = 35.11°, rel. 16; hkl 2 -2 5, 2θ = 55.55°, rel. 16; hkl 1 1 -3, 2θ = 30.17°, rel. 16; hkl 0 4 -2, 2θ = 51.66°, rel. 16; hkl 3 -2 2, 2θ = 52.87°, rel. 15

Structure:
Cell lengths 6.1049, 7.0776, 10.1985 Å; angles 110.21, 90.67, 90.00 degrees
Space group P-1 (No. 2)
One atom of each set of equivalent atoms:
Ce 0.0000 0.0000 0.0000 [1 per cell]
Pr 0.2421 0.8134 0.6281 [2 per cell]
Pr 0.2467 0.4635 0.9268 [2 per cell]
Pr 0.2672 0.2873 0.5753 [2 per cell]
Pr 0.5000 0.0000 0.0000 [1 per cell]
Dy 0.2412 0.8705 0.2711 [2 per cell]
Dy 0.2417 0.4010 0.2708 [2 per cell]

---

(2)
This entry pairs a crystal structure of CePr2Dy6 with its simulated X-ray diffraction stick pattern. Radiation: Cu Kα X-rays. Structure: the GGA-PBE geometry in Alexandria.
Lines closer than 0.1° are merged.

Principal peaks in the range 2θ from 5° to 70°, in order of falling intensity:
hkl 3 0 0, 2θ = 31.62°, rel. 100; hkl 1 1 1, 2θ = 31.19°, rel. 82; hkl 4 -2 1, 2θ = 45.01°, rel. 28; hkl 1 4 1, 2θ = 56.04°, rel. 27; hkl 3 3 0, 2θ = 56.31°, rel. 19; hkl 3 0 2, 2θ = 61.88°, rel. 17; hkl 0 2 1, 2θ = 32.97°, rel. 15; hkl 6 0 0, 2θ = 66.04°, rel. 13; hkl 3 -1 1, 2θ = 37.86°, rel. 13; hkl 3 2 1, 2θ = 53.73°, rel. 11; hkl 1 0 1, 2θ = 27.32°, rel. 8; hkl 0 0 2, 2θ = 51.70°, rel. 5

Structure:
Cell lengths 9.8034, 9.8034, 3.5359 Å; angles 90.00, 90.00, 120.00 degrees
Space group P-3 (No. 147)
One atom of each set of equivalent atoms:
Ce 0.0000 0.0000 0.0000 [1 per cell]
Pr 0.3333 0.6667 0.7636 [2 per cell]
Dy 0.0209 0.6733 0.2694 [6 per cell]

---

(3)
This entry pairs a crystal structure of CePr10Dy4 with its simulated X-ray diffraction stick pattern. Radiation: Cu Kα X-rays. Structure: the GGA-PBE geometry in Alexandria.
Lines closer than 0.1° are merged.

Principal peaks in the range 2θ from 5° to 70°, in order of falling intensity:
hkl 1 3 0, 2θ = 28.44°, rel. 100; hkl 3 0 1, 2θ = 28.22°, rel. 96; hkl 1 2 3, 2θ = 32.04°, rel. 93; hkl 1 3 2, 2θ = 33.03°, rel. 80; hkl 1 0 3, 2θ = 26.37°, rel. 79; hkl 2 3 1, 2θ = 33.61°, rel. 46; hkl 4 2 2, 2θ = 44.14°, rel. 38; hkl 3 2 3, 2θ = 41.32°, rel. 32; hkl 2 0 4, 2θ = 37.99°, rel. 29; hkl 4 5 3, 2θ = 65.56°, rel. 27; hkl 4 2 0, 2θ = 40.66°, rel. 25; hkl 6 1 1, 2θ = 57.10°, rel. 24

Structure:
Cell lengths 9.9235, 9.9235, 10.7823 Å; angles 90.00, 90.00, 90.00 degrees
Space group I4/m (No. 87)
One atom of each set of equivalent atoms:
Ce 0.0000 0.0000 0.0000 [2 per cell]
Pr 0.0000 0.5000 0.2500 [4 per cell]
Pr 0.1164 0.7879 0.3436 [16 per cell]
Dy 0.0584 0.6687 0.0000 [8 per cell]

---

(4)
This entry pairs a crystal structure of CePrDy2Se4 with its simulated X-ray diffraction stick pattern. Radiation: Cu Kα X-rays. Structure: the GGA-PBE geometry in Alexandria.
Lines closer than 0.1° are merged.

Principal peaks in the range 2θ from 5° to 70°, in order of falling intensity:
hkl 1 1 1, 2θ = 30.43°, rel. 100; hkl 1 1 -3, 2θ = 43.17°, rel. 25; hkl 3 1 -1, 2θ = 43.97°, rel. 24; hkl 2 2 -2, 2θ = 54.55°, rel. 13; hkl 2 0 2, 2θ = 43.00°, rel. 13; hkl 0 2 0, 2θ = 44.13°, rel. 12; hkl 2 2 2, 2θ = 63.32°, rel. 12; hkl 1 1 -1, 2θ = 26.49°, rel. 9; hkl 0 0 4, 2θ = 52.91°, rel. 7; hkl 4 0 0, 2θ = 54.26°, rel. 6; hkl 0 0 2, 2θ = 25.74°, rel. 5; hkl 2 0 0, 2θ = 26.36°, rel. 4

Structure:
Cell lengths 7.1430, 4.1040, 7.3121 Å; angles 90.00, 108.80, 90.00 degrees
Space group P2/m (No. 10)
One atom of each set of equivalent atoms:
Ce 0.0000 0.0000 0.0000 [1 per cell]
Pr 0.5000 0.5000 0.0000 [1 per cell]
Dy 0.0000 0.5000 0.5000 [1 per cell]
Dy 0.5000 0.0000 0.5000 [1 per cell]
Se 0.2425 0.0000 0.7348 [2 per cell]
Se 0.2525 0.5000 0.2636 [2 per cell]